This entry pairs a crystal structure of Nd2Zn15Pd2 with its theoretical X-ray diffraction stick pattern. Radiation: Cu Kα (λ = 1.5418 Å). Structure: DFT lattice parameters and positions (PBE).
Lines closer than 0.1° are merged.

Peak list (6 most intense, 5 to 70 degrees two-theta, by intensity)
2theta, I/Imax, index
40.07, 100, 0 3 3
39.86, 94, 2 2 0
40.75, 74, 0 0 6
34.34, 55, 3 0 0
45.00, 50, 2 2 3
35.41, 50, 0 2 4

Atomic structure:
a = 9.0471 Å, b = 9.0471 Å, c = 13.2990 Å
α = 90.00°, β = 90.00°, γ = 120.00°
Space group R-3m (No. 166, hexagonal axes)
Unique sites:
1 Nd 0.0000 0.0000 0.1614 x6
2 Zn 0.0000 0.2856 0.5000 x18
3 Zn 0.0000 0.5000 0.0000 x9
4 Zn 0.0029 0.5015 0.6526 x18
5 Pd 0.0000 0.0000 0.3916 x6